[1]
For CaHf8N8O4, DFT lattice parameters and positions (PBE) gives the calculated powder diffraction line list in this record (Cu Kα, 1.54184 Å).
No peak broadening, texture or thermal motion is included.

Most intense lines, 2θ = 10–90°, by intensity:
2.803 Å, rel. 100; 2.790 Å, rel. 57; 2.724 Å, rel. 50; 2.818 Å, rel. 43; 2.747 Å, rel. 39; 1.934 Å, rel. 37; 4.282 Å, rel. 25; 1.584 Å, rel. 20

Structure:
Unit cell a=5.4486 b=5.5877 c=10.2900 alpha=92.17 beta=90.26 gamma=118.90
Sites, in units of the cell vectors:
Ca 0.0000 0.0000 0.0000
Hf 0.2831 0.6081 0.4153
Hf 0.3022 0.6494 0.8266
Hf 0.3516 0.6860 0.1256
Hf 0.6267 0.2979 0.8594
Hf 0.6505 0.3323 0.5653
Hf 0.6520 0.3157 0.1542
Hf 0.9353 0.9916 0.3232
Hf 0.9898 0.9886 0.6317
N 0.0170 0.3946 0.2525
N 0.2530 0.2646 0.4910
N 0.3141 0.9998 0.7334
N 0.4102 0.4399 0.9809
N 0.5528 0.9958 0.9802
N 0.5916 0.6110 0.2606
N 0.9418 0.3242 0.7252
N 0.9523 0.6778 0.4867
O 0.2334 0.9954 0.1988
O 0.6266 0.6304 0.7215
O 0.6477 0.9917 0.4783
O 0.9840 0.5755 0.9833


[2]
For Pr2PI, DFT lattice parameters and positions (PBE) gives the calculated powder diffraction line list in this record (Cu Kα, 1.54184 Å).
No peak broadening, texture or thermal motion is included.

Most intense lines, 2θ = 10–90°, by intensity:
2.883 Å, rel. 100; 3.099 Å, rel. 65; 2.103 Å, rel. 50; 3.600 Å, rel. 34; 1.640 Å, rel. 28; 1.699 Å, rel. 21; 2.619 Å, rel. 19; 1.322 Å, rel. 18

Structure:
Unit cell a=8.2249 b=8.2249 c=8.2249 alpha=29.63 beta=29.63 gamma=29.63
Sites, in units of the cell vectors:
Pr 0.0000 0.0000 0.0000
Pr 0.2041 0.2041 0.2041
P 0.6009 0.6009 0.6009
I 0.7694 0.7694 0.7694


[3]
For HfZr2Bi, DFT lattice parameters and positions (PBE) gives the calculated powder diffraction line list in this record (Cu Kα, 1.54184 Å).
No peak broadening, texture or thermal motion is included.

Most intense lines, 2θ = 10–90°, by intensity:
2.512 Å, rel. 100; 2.372 Å, rel. 72; 2.794 Å, rel. 54; 3.856 Å, rel. 50; 2.703 Å, rel. 48; 2.276 Å, rel. 39; 1.418 Å, rel. 38; 2.751 Å, rel. 34

Structure:
Unit cell a=8.6205 b=8.6205 c=8.6205 alpha=96.61 beta=96.61 gamma=140.35
Sites, in units of the cell vectors:
Hf 0.1917 0.2901 0.5262
Hf 0.3345 0.8083 0.0984
Hf 0.7099 0.2361 0.9016
Hf 0.7639 0.6655 0.4738
Zr 0.0312 0.5553 0.6863
Zr 0.0777 0.2477 0.8753
Zr 0.3724 0.2024 0.1247
Zr 0.4447 0.1310 0.4758
Zr 0.6551 0.9688 0.5242
Zr 0.7523 0.6276 0.8300
Zr 0.7976 0.9223 0.1700
Zr 0.8690 0.3449 0.3137
Bi 0.2453 0.0648 0.7572
Bi 0.3075 0.4881 0.2428
Bi 0.5119 0.7547 0.8194
Bi 0.9352 0.6925 0.1806


[4]
For Tm2Pb2S, DFT lattice parameters and positions (PBE) gives the calculated powder diffraction line list in this record (Cu Kα, 1.54184 Å).
No peak broadening, texture or thermal motion is included.

Most intense lines, 2θ = 10–90°, by intensity:
2.663 Å, rel. 100; 3.168 Å, rel. 99; 2.218 Å, rel. 88; 2.980 Å, rel. 78; 1.837 Å, rel. 69; 2.836 Å, rel. 57; 2.883 Å, rel. 43; 1.543 Å, rel. 37

Structure:
Unit cell a=3.6743 b=3.6743 c=11.5346 alpha=99.05 beta=99.05 gamma=60.02
Sites, in units of the cell vectors:
Tm 0.2141 0.2141 0.1441
Tm 0.7859 0.7859 0.8559
Pb 0.0505 0.0505 0.6374
Pb 0.9495 0.9495 0.3626
S 0.5000 0.5000 0.0000